The following is a calculated powder XRD pattern of LiGa5Au3. It was derived from a PBE-relaxed structure, using Cu Ka.
No peak broadening, texture or thermal motion is included.

Cell and atoms:
Cell lengths 7.0593, 7.0593, 9.8325 Å; angles 116.67, 116.67, 75.04 degrees
Positions (direct):
1 Li 0.2188 0.2188 0.3058
2 Li 0.7812 0.7812 0.6942
3 Ga 0.1658 0.6290 0.5787
4 Ga 0.2195 0.2195 0.6330
5 Ga 0.2257 0.2257 0.9933
6 Ga 0.2955 0.7045 0.0000
7 Ga 0.3710 0.8342 0.4213
8 Ga 0.6290 0.1658 0.5787
9 Ga 0.7045 0.2955 0.0000
10 Ga 0.7743 0.7743 0.0067
11 Ga 0.7805 0.7805 0.3670
12 Ga 0.8342 0.3710 0.4213
13 Au 0.0000 0.0000 0.0000
14 Au 0.0233 0.0233 0.6896
15 Au 0.4975 0.4975 0.1936
16 Au 0.5000 0.5000 0.5000
17 Au 0.5025 0.5025 0.8064
18 Au 0.9767 0.9767 0.3104

The 10 most intense peaks (10 to 80 degrees two-theta), by angle:
d/Å, 2θ/deg, I_rel
4.616, 19.23, 100
4.299, 20.66, 77
3.146, 28.37, 29
2.926, 30.55, 53
2.887, 30.97, 51
2.195, 41.13, 35
2.148, 42.06, 71
2.108, 42.90, 31
2.094, 43.21, 34
2.034, 44.55, 40


The following is a calculated powder XRD pattern of V2NiPd6. It was derived from a PBE-relaxed structure, using Cu Ka.
No peak broadening, texture or thermal motion is included.

Cell and atoms:
Cell lengths 8.1545, 6.1853, 5.9949 Å; angles 84.04, 48.97, 46.99 degrees
Positions (direct):
1 V 0.1569 0.1569 0.8431
2 V 0.8431 0.8431 0.1569
3 Ni 0.5000 0.5000 0.5000
4 Pd 0.1599 0.8401 0.1599
5 Pd 0.1776 0.4862 0.5138
6 Pd 0.4862 0.1776 0.8224
7 Pd 0.5138 0.8224 0.1776
8 Pd 0.8224 0.5138 0.4862
9 Pd 0.8401 0.1599 0.8401

The 10 most intense peaks (10 to 80 degrees two-theta), by angle:
d/Å, 2θ/deg, I_rel
2.832, 31.59, 7
2.691, 33.30, 10
2.234, 40.38, 100
1.962, 46.27, 17
1.955, 46.44, 17
1.888, 48.19, 13
1.397, 66.96, 5
1.385, 67.64, 11
1.361, 69.03, 9
1.358, 69.16, 9


The following is a calculated powder XRD pattern of Cd2HPd3. It was derived from a PBE-relaxed structure, using Cu Ka.
No peak broadening, texture or thermal motion is included.

Cell and atoms:
Cell lengths 7.7622, 7.6423, 5.3345 Å; angles 70.95, 68.54, 40.51 degrees
Positions (direct):
1 Cd 0.2046 0.7954 0.7954
2 Cd 0.2500 0.2500 0.2500
3 Cd 0.7500 0.7500 0.7500
4 Cd 0.7954 0.2046 0.2046
5 H 0.3271 0.3271 0.6729
6 H 0.6729 0.6729 0.3271
7 Pd 0.1931 0.1931 0.8069
8 Pd 0.2145 0.5885 0.4115
9 Pd 0.4115 0.7855 0.2145
10 Pd 0.5885 0.2145 0.7855
11 Pd 0.7855 0.4115 0.5885
12 Pd 0.8069 0.8069 0.1931

The 10 most intense peaks (10 to 80 degrees two-theta), by angle:
d/Å, 2θ/deg, I_rel
2.473, 36.33, 100
2.405, 37.39, 27
2.398, 37.50, 24
2.061, 43.94, 8
1.941, 46.82, 22
1.824, 50.01, 13
1.650, 55.72, 9
1.329, 70.91, 9
1.325, 71.18, 8
1.266, 75.05, 12


The following is a calculated powder XRD pattern of AgSn2Au. It was derived from a PBE-relaxed structure, using Cu Ka.
No peak broadening, texture or thermal motion is included.

Cell and atoms:
Cell lengths 5.6100, 5.6100, 7.2519 Å; angles 110.16, 110.16, 63.33 degrees
Positions (direct):
1 Ag 0.2340 0.7660 0.7500
2 Ag 0.7660 0.2340 0.2500
3 Sn 0.2788 0.2958 0.8894
4 Sn 0.2958 0.2788 0.3894
5 Sn 0.7042 0.7212 0.6106
6 Sn 0.7212 0.7042 0.1106
7 Au 0.2570 0.7430 0.2500
8 Au 0.7430 0.2570 0.7500

The 10 most intense peaks (10 to 80 degrees two-theta), by angle:
d/Å, 2θ/deg, I_rel
3.381, 26.36, 25
3.315, 26.89, 29
3.087, 28.92, 41
2.442, 36.81, 100
2.301, 39.16, 35
2.239, 40.27, 30
2.221, 40.63, 39
2.202, 40.99, 33
2.183, 41.36, 27
1.812, 50.35, 26


The following is a calculated powder XRD pattern of Li15Ni. It was derived from a PBE-relaxed structure, using Cu Ka.
No peak broadening, texture or thermal motion is included.

Cell and atoms:
Cell lengths 5.9402, 5.9402, 9.4980 Å; angles 90.00, 90.00, 120.00 degrees
Positions (direct):
1 Li 0.0000 0.0000 0.0000
2 Li 0.0078 0.5039 0.5000
3 Li 0.3174 0.1587 0.2697
4 Li 0.3174 0.1587 0.7303
5 Li 0.3333 0.6667 0.2409
6 Li 0.3333 0.6667 0.7591
7 Li 0.4961 0.5039 0.5000
8 Li 0.4961 0.9922 0.5000
9 Li 0.5041 0.0081 0.0000
10 Li 0.5041 0.4959 0.0000
11 Li 0.8413 0.1587 0.2697
12 Li 0.8413 0.1587 0.7303
13 Li 0.8413 0.6826 0.2697
14 Li 0.8413 0.6826 0.7303
15 Li 0.9919 0.4959 0.0000
16 Ni 0.0000 0.0000 0.5000

The 10 most intense peaks (10 to 80 degrees two-theta), by angle:
d/Å, 2θ/deg, I_rel
5.144, 17.24, 69
4.749, 18.68, 19
4.523, 19.63, 100
3.489, 25.53, 48
2.835, 31.56, 28
2.696, 33.23, 23
2.572, 34.88, 24
2.518, 35.65, 21
2.483, 36.18, 19
2.262, 39.86, 66


The following is a calculated powder XRD pattern of Er4In5. It was derived from a PBE-relaxed structure, using Cu Ka.
No peak broadening, texture or thermal motion is included.

Cell and atoms:
Cell lengths 9.1973, 9.1973, 6.4300 Å; angles 90.00, 90.00, 120.00 degrees
Positions (direct):
1 Er 0.0000 0.0000 0.0000
2 Er 0.0000 0.0000 0.5000
3 Er 0.0000 0.3666 0.2500
4 Er 0.0000 0.6334 0.7500
5 Er 0.3666 0.0000 0.2500
6 Er 0.3666 0.3666 0.7500
7 Er 0.6334 0.0000 0.7500
8 Er 0.6334 0.6334 0.2500
9 In 0.0000 0.3015 0.7500
10 In 0.0000 0.6985 0.2500
11 In 0.3015 0.0000 0.7500
12 In 0.3015 0.3015 0.2500
13 In 0.3333 0.6667 0.0000
14 In 0.3333 0.6667 0.5000
15 In 0.6667 0.3333 0.0000
16 In 0.6667 0.3333 0.5000
17 In 0.6985 0.0000 0.2500
18 In 0.6985 0.6985 0.7500

The 10 most intense peaks (10 to 80 degrees two-theta), by angle:
d/Å, 2θ/deg, I_rel
2.726, 32.85, 20
2.655, 33.76, 100
2.635, 34.02, 97
2.089, 43.31, 10
1.870, 48.69, 31
1.607, 57.32, 9
1.533, 60.39, 13
1.529, 60.56, 28
1.466, 63.47, 9
1.375, 68.20, 25


The following is a calculated powder XRD pattern of TlVFe2Cl8. It was derived from a PBE-relaxed structure, using Cu Ka.
No peak broadening, texture or thermal motion is included.

Cell and atoms:
Cell lengths 6.2683, 6.2683, 9.2660 Å; angles 93.70, 93.70, 68.86 degrees
Positions (direct):
1 Tl 0.0000 0.0000 0.0000
2 V 0.0000 0.0000 0.5000
3 Fe 0.3738 0.3738 0.7033
4 Fe 0.6262 0.6262 0.2967
5 Cl 0.2303 0.7476 0.3084
6 Cl 0.2344 0.2344 0.5005
7 Cl 0.2524 0.7697 0.6916
8 Cl 0.3067 0.3067 0.9236
9 Cl 0.6933 0.6933 0.0764
10 Cl 0.7476 0.2303 0.3084
11 Cl 0.7656 0.7656 0.4995
12 Cl 0.7697 0.2524 0.6916

The 10 most intense peaks (10 to 80 degrees two-theta), by angle:
d/Å, 2θ/deg, I_rel
5.841, 15.17, 45
5.154, 17.20, 52
4.841, 18.33, 80
3.704, 24.03, 58
3.546, 25.11, 100
3.092, 28.87, 63
2.821, 31.72, 46
2.812, 31.83, 45
1.947, 46.66, 35
1.856, 49.07, 33


The following is a calculated powder XRD pattern of Cd2Ag7Pt2. It was derived from a PBE-relaxed structure, using Cu Ka.
No peak broadening, texture or thermal motion is included.

Cell and atoms:
Cell lengths 7.4942, 7.4942, 7.4942 Å; angles 147.57, 109.64, 79.62 degrees
Positions (direct):
1 Cd 0.1759 0.1759 0.0000
2 Cd 0.8241 0.8241 0.0000
3 Ag 0.0000 0.5000 0.5000
4 Ag 0.0941 0.3385 0.7556
5 Ag 0.3673 0.8673 0.5000
6 Ag 0.4170 0.6615 0.7556
7 Ag 0.5830 0.3385 0.2444
8 Ag 0.6327 0.1327 0.5000
9 Ag 0.9059 0.6615 0.2444
10 Pt 0.2270 0.0000 0.2270
11 Pt 0.7730 0.0000 0.7730

The 10 most intense peaks (10 to 80 degrees two-theta), by angle:
d/Å, 2θ/deg, I_rel
3.934, 22.60, 8
2.366, 38.03, 100
2.159, 41.84, 18
2.093, 43.23, 19
1.919, 47.38, 11
1.503, 61.73, 11
1.434, 65.03, 7
1.414, 66.06, 8
1.283, 73.88, 11
1.255, 75.82, 13


The following is a calculated powder XRD pattern of Tm3Np. It was derived from a PBE-relaxed structure, using Cu Ka.
No peak broadening, texture or thermal motion is included.

Cell and atoms:
Cell lengths 6.6063, 6.6063, 6.6063 Å; angles 150.65, 63.93, 124.59 degrees
Positions (direct):
1 Tm 0.0000 0.0000 0.0000
2 Tm 0.0739 0.3223 0.7517
3 Tm 0.5706 0.3223 0.2483
4 Np 0.5044 0.0044 0.5000

The 10 most intense peaks (10 to 80 degrees two-theta), by angle:
d/Å, 2θ/deg, I_rel
2.939, 30.42, 28
2.802, 31.94, 43
2.693, 33.27, 63
2.603, 34.46, 100
2.028, 44.68, 20
1.747, 52.39, 21
1.596, 57.76, 14
1.577, 58.55, 22
1.482, 62.69, 33
1.421, 65.69, 18


The following is a calculated powder XRD pattern of Pr2Ni12P3Pd. It was derived from a PBE-relaxed structure, using Cu Ka.
No peak broadening, texture or thermal motion is included.

Cell and atoms:
Cell lengths 6.6051, 6.6051, 6.6051 Å; angles 77.81, 77.81, 77.81 degrees
Positions (direct):
1 Pr 0.1198 0.1198 0.1198
2 Pr 0.8802 0.8802 0.8802
3 Ni 0.1489 0.6547 0.6547
4 Ni 0.1826 0.1826 0.6062
5 Ni 0.1826 0.6062 0.1826
6 Ni 0.3453 0.3453 0.8511
7 Ni 0.3453 0.8511 0.3453
8 Ni 0.3938 0.8174 0.8174
9 Ni 0.6062 0.1826 0.1826
10 Ni 0.6547 0.1489 0.6547
11 Ni 0.6547 0.6547 0.1489
12 Ni 0.8174 0.3938 0.8174
13 Ni 0.8174 0.8174 0.3938
14 Ni 0.8511 0.3453 0.3453
15 P 0.0000 0.5000 0.5000
16 P 0.5000 0.0000 0.5000
17 P 0.5000 0.5000 0.0000
18 Pd 0.5000 0.5000 0.5000

The 10 most intense peaks (10 to 80 degrees two-theta), by angle:
d/Å, 2θ/deg, I_rel
3.474, 25.64, 16
3.065, 29.14, 40
2.551, 35.18, 25
2.523, 35.58, 31
2.474, 36.32, 51
2.274, 39.64, 24
2.119, 42.67, 20
2.074, 43.64, 100
1.532, 60.41, 29
1.411, 66.24, 14


The following is a calculated powder XRD pattern of Dy3Sb2C. It was derived from a PBE-relaxed structure, using Cu Ka.
No peak broadening, texture or thermal motion is included.

Cell and atoms:
Cell lengths 6.9175, 6.9175, 6.5563 Å; angles 90.00, 90.00, 76.82 degrees
Positions (direct):
1 Dy 0.1599 0.8401 0.7500
2 Dy 0.3476 0.3476 0.0000
3 Dy 0.3476 0.3476 0.5000
4 Dy 0.6524 0.6524 0.0000
5 Dy 0.6524 0.6524 0.5000
6 Dy 0.8401 0.1599 0.2500
7 Sb 0.0386 0.6742 0.2500
8 Sb 0.3258 0.9614 0.2500
9 Sb 0.6742 0.0386 0.7500
10 Sb 0.9614 0.3258 0.7500
11 C 0.4225 0.5775 0.7500
12 C 0.5775 0.4225 0.2500

The 10 most intense peaks (10 to 80 degrees two-theta), by angle:
d/Å, 2θ/deg, I_rel
3.331, 26.76, 50
2.996, 29.83, 28
2.970, 30.09, 100
2.948, 30.32, 88
2.770, 32.32, 85
2.606, 34.41, 89
2.337, 38.53, 46
2.245, 40.17, 25
2.164, 41.74, 32
1.879, 48.45, 25